[1]
Simulated powder XRD pattern of Cu2Ag3 for Cu Ka, from DFT lattice parameters and positions (GGA-PBE).

Crystal structure
```
data_Cu2Ag3
_cell_length_a 4.8251
_cell_length_b 14.0882
_cell_length_c 4.8402
_cell_angle_alpha 90.00
_cell_angle_beta 108.65
_cell_angle_gamma 90.00
_space_group_name_H-M_alt 'C 1 2 1'
_space_group_IT_number 5
loop_
_space_group_symop_operation_xyz
'x,y,z'
'-x,y,-z'
'x+1/2,y+1/2,z'
'-x+1/2,y+1/2,-z'
loop_
_atom_site_label
_atom_site_type_symbol
_atom_site_fract_x
_atom_site_fract_y
_atom_site_fract_z
_atom_site_occupancy
Cu1 Cu 0.0000 0.0000 0.0000 1
Cu2 Cu 0.0000 0.0949 0.5000 1
Cu3 Cu 0.0000 0.2909 0.5000 1
Cu4 Cu 0.0000 0.5914 0.0000 1
Ag1 Ag 0.0000 0.1873 0.0000 1
Ag2 Ag 0.0000 0.3970 0.0000 1
Ag3 Ag 0.0000 0.4983 0.5000 1
Ag4 Ag 0.0000 0.6935 0.5000 1
Ag5 Ag 0.0000 0.7946 0.0000 1
Ag6 Ag 0.0000 0.8987 0.5000 1
```

Peak list (8 most intense, 2θ = 5–70°, most intense first)
- 39.3°, d = 2.290 Å, intensity 100
- 45.5°, d = 1.993 Å, intensity 43
- 39.4°, d = 2.286 Å, intensity 33
- 46.3°, d = 1.963 Å, intensity 21
- 67.0°, d = 1.397 Å, intensity 14
- 66.3°, d = 1.409 Å, intensity 13
- 66.8°, d = 1.400 Å, intensity 13
- 23.5°, d = 3.782 Å, intensity 2


[2]
Simulated powder XRD pattern of Na4Ga2AgPt for Cu Ka, from DFT lattice parameters and positions (GGA-PBE).

Crystal structure
```
data_Na4Ga2AgPt
_cell_length_a 4.7904
_cell_length_b 4.7904
_cell_length_c 6.7873
_cell_angle_alpha 90.00
_cell_angle_beta 90.00
_cell_angle_gamma 90.00
_space_group_name_H-M_alt 'P -4 m 2'
_space_group_IT_number 115
loop_
_space_group_symop_operation_xyz
'x,y,z'
'y,-x,-z'
'-x,-y,z'
'-y,x,-z'
'-x,y,z'
'-y,-x,-z'
'x,-y,z'
'y,x,-z'
loop_
_atom_site_label
_atom_site_type_symbol
_atom_site_fract_x
_atom_site_fract_y
_atom_site_fract_z
_atom_site_occupancy
Na1 Na 0.0000 0.0000 0.0000 1
Na2 Na 0.0000 0.5000 0.7486 1
Na3 Na 0.5000 0.5000 0.5000 1
Ga1 Ga 0.0000 0.5000 0.2760 1
Ag1 Ag 0.5000 0.5000 0.0000 1
Pt1 Pt 0.0000 0.0000 0.5000 1
```

Peak list (8 most intense, 2θ = 5–70°, most intense first)
- 37.5°, d = 2.397 Å, intensity 100
- 22.7°, d = 3.914 Å, intensity 60
- 67.7°, d = 1.384 Å, intensity 32
- 44.3°, d = 2.044 Å, intensity 31
- 59.4°, d = 1.555 Å, intensity 13
- 54.2°, d = 1.694 Å, intensity 11
- 26.3°, d = 3.390 Å, intensity 11
- 13.0°, d = 6.787 Å, intensity 7


[3]
Simulated powder XRD pattern of PrNd2AlI3 for Cu Ka, from DFT lattice parameters and positions (GGA-PBE).

Crystal structure
```
data_PrNd2AlI3
_cell_length_a 6.3113
_cell_length_b 6.3113
_cell_length_c 6.3046
_cell_angle_alpha 90.00
_cell_angle_beta 90.00
_cell_angle_gamma 90.00
_space_group_name_H-M_alt 'P 4/m m m'
_space_group_IT_number 123
_space_group_name_Hall '-P 4 2'
loop_
_atom_site_label
_atom_site_type_symbol
_atom_site_fract_x
_atom_site_fract_y
_atom_site_fract_z
_atom_site_occupancy
Pr1 Pr 0.0000 0.0000 0.0000 1
Nd1 Nd 0.0000 0.5000 0.5000 1
Al1 Al 0.0000 0.0000 0.5000 1
I1 I 0.0000 0.5000 0.0000 1
I2 I 0.5000 0.5000 0.5000 1
```

Peak list (8 most intense, 2θ = 5–70°, most intense first)
- 28.3°, d = 3.155 Å, intensity 100
- 40.4°, d = 2.231 Å, intensity 76
- 19.9°, d = 4.461 Å, intensity 40
- 66.2°, d = 1.411 Å, intensity 35
- 50.1°, d = 1.821 Å, intensity 27
- 34.8°, d = 2.576 Å, intensity 19
- 58.5°, d = 1.577 Å, intensity 13
- 54.4°, d = 1.686 Å, intensity 11


[4]
Simulated powder XRD pattern of PaAsPO for Cu Ka, from DFT lattice parameters and positions (GGA-PBE).

Crystal structure
```
data_PaAsPO
_cell_length_a 3.8749
_cell_length_b 3.8749
_cell_length_c 9.6474
_cell_angle_alpha 90.00
_cell_angle_beta 90.00
_cell_angle_gamma 90.00
_space_group_name_H-M_alt 'P 4/n m m'
_space_group_IT_number 129
loop_
_space_group_symop_operation_xyz
'x,y,z'
'-x,-y,-z'
'-y+1/2,x,z'
'y+1/2,-x,-z'
'-x+1/2,-y+1/2,z'
'x+1/2,y+1/2,-z'
'y,-x+1/2,z'
'-y,x+1/2,-z'
'x+1/2,-y,-z'
'-x+1/2,y,z'
'-y,-x,-z'
'y,x,z'
'-x,y+1/2,-z'
'x,-y+1/2,z'
'y+1/2,x+1/2,-z'
'-y+1/2,-x+1/2,z'
loop_
_atom_site_label
_atom_site_type_symbol
_atom_site_fract_x
_atom_site_fract_y
_atom_site_fract_z
_atom_site_occupancy
Pa1 Pa 0.2500 0.2500 0.1444 1
As1 As 0.2500 0.7500 0.5000 1
P1 P 0.2500 0.2500 0.7320 1
O1 O 0.2500 0.7500 0.0000 1
```

Peak list (8 most intense, 2θ = 5–70°, most intense first)
- 29.6°, d = 3.021 Å, intensity 100
- 24.8°, d = 3.596 Å, intensity 64
- 34.0°, d = 2.636 Å, intensity 53
- 27.7°, d = 3.216 Å, intensity 38
- 9.2°, d = 9.647 Å, intensity 37
- 46.9°, d = 1.937 Å, intensity 34
- 56.4°, d = 1.631 Å, intensity 34
- 37.8°, d = 2.382 Å, intensity 33


[5]
Simulated powder XRD pattern of SrIn3Pt3 for Cu Ka, from DFT lattice parameters and positions (GGA-PBE).

Crystal structure
```
data_SrIn3Pt3
_cell_length_a 4.4490
_cell_length_b 7.7908
_cell_length_c 8.9646
_cell_angle_alpha 90.00
_cell_angle_beta 90.00
_cell_angle_gamma 90.00
_space_group_name_H-M_alt 'P m m n'
_space_group_IT_number 59
loop_
_space_group_symop_operation_xyz
'x,y,z'
'-x,-y,-z'
'-x+1/2,-y+1/2,z'
'x+1/2,y+1/2,-z'
'x+1/2,-y,-z'
'-x+1/2,y,z'
'-x,y+1/2,-z'
'x,-y+1/2,z'
loop_
_atom_site_label
_atom_site_type_symbol
_atom_site_fract_x
_atom_site_fract_y
_atom_site_fract_z
_atom_site_occupancy
Sr1 Sr 0.2500 0.2500 0.2193 1
In1 In 0.2500 0.0524 0.6181 1
In2 In 0.2500 0.7500 0.1317 1
Pt1 Pt 0.2500 0.0341 0.9172 1
Pt2 Pt 0.2500 0.7500 0.4611 1
```

Peak list (8 most intense, 2θ = 5–70°, most intense first)
- 32.1°, d = 2.787 Å, intensity 100
- 43.2°, d = 2.092 Å, intensity 48
- 40.6°, d = 2.224 Å, intensity 38
- 40.2°, d = 2.243 Å, intensity 32
- 45.3°, d = 2.004 Å, intensity 31
- 36.2°, d = 2.481 Å, intensity 20
- 19.8°, d = 4.482 Å, intensity 19
- 24.9°, d = 3.573 Å, intensity 17


[6]
Simulated powder XRD pattern of Dy2YZn2Si4Au2 for Cu Ka, from DFT lattice parameters and positions (GGA-PBE).

Crystal structure
```
data_Dy2YZn2Si4Au2
_cell_length_a 4.1201
_cell_length_b 4.1705
_cell_length_c 24.5853
_cell_angle_alpha 90.00
_cell_angle_beta 90.00
_cell_angle_gamma 90.00
_space_group_name_H-M_alt 'I m m m'
_space_group_IT_number 71
_space_group_name_Hall '-I 2 2'
loop_
_atom_site_label
_atom_site_type_symbol
_atom_site_fract_x
_atom_site_fract_y
_atom_site_fract_z
_atom_site_occupancy
Dy1 Dy 0.0000 0.0000 0.1442 1
Y1 Y 0.0000 0.5000 0.0000 1
Zn1 Zn 0.0000 0.0000 0.4065 1
Si1 Si 0.0000 0.0000 0.3116 1
Si2 Si 0.0000 0.5000 0.4524 1
Au1 Au 0.0000 0.5000 0.2518 1
```

Peak list (8 most intense, 2θ = 5–70°, most intense first)
- 33.9°, d = 2.646 Å, intensity 100
- 7.2°, d = 12.293 Å, intensity 98
- 33.5°, d = 2.673 Å, intensity 21
- 44.0°, d = 2.059 Å, intensity 21
- 43.4°, d = 2.085 Å, intensity 18
- 37.7°, d = 2.384 Å, intensity 18
- 29.1°, d = 3.073 Å, intensity 15
- 23.9°, d = 3.717 Å, intensity 12


[7]
Simulated powder XRD pattern of Ni13Te2 for Cu Ka, from DFT lattice parameters and positions (GGA-PBE).

Crystal structure
```
data_Ni13Te2
_cell_length_a 8.0030
_cell_length_b 3.3254
_cell_length_c 25.8525
_cell_angle_alpha 90.00
_cell_angle_beta 98.84
_cell_angle_gamma 90.00
_space_group_name_H-M_alt 'C 1 2/m 1'
_space_group_IT_number 12
loop_
_space_group_symop_operation_xyz
'x,y,z'
'-x,-y,-z'
'-x,y,-z'
'x,-y,z'
'x+1/2,y+1/2,z'
'-x+1/2,-y+1/2,-z'
'-x+1/2,y+1/2,-z'
'x+1/2,-y+1/2,z'
loop_
_atom_site_label
_atom_site_type_symbol
_atom_site_fract_x
_atom_site_fract_y
_atom_site_fract_z
_atom_site_occupancy
Ni1 Ni 0.0000 0.0000 0.0000 1
Ni2 Ni 0.0698 0.5000 0.9377 1
Ni3 Ni 0.0810 0.5000 0.1579 1
Ni4 Ni 0.1398 0.0000 0.8759 1
Ni5 Ni 0.1451 0.0000 0.0942 1
Ni6 Ni 0.1987 0.5000 0.8088 1
Ni7 Ni 0.2147 0.5000 0.0313 1
Te1 Te 0.0257 0.0000 0.2307 1
```

Peak list (8 most intense, 2θ = 5–70°, most intense first)
- 44.8°, d = 2.023 Å, intensity 100
- 45.3°, d = 2.001 Å, intensity 100
- 10.4°, d = 8.515 Å, intensity 87
- 42.1°, d = 2.148 Å, intensity 75
- 44.4°, d = 2.039 Å, intensity 72
- 50.4°, d = 1.812 Å, intensity 36
- 48.5°, d = 1.879 Å, intensity 35
- 55.3°, d = 1.663 Å, intensity 30


[8]
Simulated powder XRD pattern of AsW4AuN2 for Cu Ka, from DFT lattice parameters and positions (GGA-PBE).

Crystal structure
```
data_AsW4AuN2
_cell_length_a 2.8991
_cell_length_b 2.8991
_cell_length_c 14.6081
_cell_angle_alpha 90.00
_cell_angle_beta 90.00
_cell_angle_gamma 120.00
_space_group_name_H-M_alt 'P -6 m 2'
_space_group_IT_number 187
_space_group_name_Hall 'P -6 2'
loop_
_atom_site_label
_atom_site_type_symbol
_atom_site_fract_x
_atom_site_fract_y
_atom_site_fract_z
_atom_site_occupancy
As1 As 0.0000 0.0000 0.0000 1
W1 W 0.0000 0.0000 0.3352 1
W2 W 0.6667 0.3333 0.1408 1
Au1 Au 0.6667 0.3333 0.5000 1
N1 N 0.3333 0.6667 0.2395 1
```

Peak list (8 most intense, 2θ = 5–70°, most intense first)
- 40.4°, d = 2.232 Å, intensity 100
- 35.8°, d = 2.511 Å, intensity 24
- 36.9°, d = 2.435 Å, intensity 21
- 64.3°, d = 1.450 Å, intensity 19
- 52.3°, d = 1.748 Å, intensity 13
- 68.9°, d = 1.363 Å, intensity 11
- 62.9°, d = 1.477 Å, intensity 10
- 6.1°, d = 14.608 Å, intensity 8


[9]
Simulated powder XRD pattern of Cs2Zn for Cu Ka, from DFT lattice parameters and positions (GGA-PBE).

Crystal structure
Cell: 16.2835 16.2835 16.2835 Å, 90.00 90.00 90.00°
Space group Fd-3m (No. 227, origin choice 2)
Unique sites:
1 Cs 0.0000 0.0000 0.0000
2 Zn 0.1250 0.1250 0.1250

Peak list (8 most intense, 2θ = 5–70°, most intense first)
- 9.4°, d = 9.401 Å, intensity 100
- 18.9°, d = 4.701 Å, intensity 45
- 23.8°, d = 3.736 Å, intensity 37
- 32.5°, d = 2.752 Å, intensity 33
- 31.1°, d = 2.879 Å, intensity 32
- 36.6°, d = 2.455 Å, intensity 25
- 39.5°, d = 2.280 Å, intensity 19
- 18.1°, d = 4.910 Å, intensity 14


[10]
Simulated powder XRD pattern of PrTmBe2Ge2 for Cu Ka, from DFT lattice parameters and positions (GGA-PBE).

Crystal structure
```
data_PrTmBe2Ge2
_cell_length_a 3.9428
_cell_length_b 3.9428
_cell_length_c 8.2818
_cell_angle_alpha 90.00
_cell_angle_beta 90.00
_cell_angle_gamma 120.00
_space_group_name_H-M_alt 'P -3 m 1'
_space_group_IT_number 164
_space_group_name_Hall '-P 3 2"'
loop_
_atom_site_label
_atom_site_type_symbol
_atom_site_fract_x
_atom_site_fract_y
_atom_site_fract_z
_atom_site_occupancy
Pr1 Pr 0.0000 0.0000 0.0000 1
Tm1 Tm 0.0000 0.0000 0.5000 1
Be1 Be 0.3333 0.6667 0.7383 1
Ge1 Ge 0.3333 0.6667 0.2642 1
```

Peak list (8 most intense, 2θ = 5–70°, most intense first)
- 34.0°, d = 2.634 Å, intensity 100
- 26.1°, d = 3.415 Å, intensity 34
- 46.0°, d = 1.971 Å, intensity 31
- 58.5°, d = 1.578 Å, intensity 21
- 65.4°, d = 1.428 Å, intensity 21
- 28.3°, d = 3.157 Å, intensity 15
- 43.7°, d = 2.070 Å, intensity 12
- 51.6°, d = 1.770 Å, intensity 11


[11]
Simulated powder XRD pattern of Tm3ScTe2C2 for Cu Ka, from DFT lattice parameters and positions (GGA-PBE).

Crystal structure
```
data_Tm3ScTe2C2
_cell_length_a 3.7280
_cell_length_b 3.7280
_cell_length_c 13.6633
_cell_angle_alpha 90.00
_cell_angle_beta 90.00
_cell_angle_gamma 120.00
_space_group_name_H-M_alt 'P 3 m 1'
_space_group_IT_number 156
loop_
_space_group_symop_operation_xyz
'x,y,z'
'-y,x-y,z'
'-x+y,-x,z'
'-y,-x,z'
'-x+y,y,z'
'x,x-y,z'
loop_
_atom_site_label
_atom_site_type_symbol
_atom_site_fract_x
_atom_site_fract_y
_atom_site_fract_z
_atom_site_occupancy
Tm1 Tm 0.0000 0.0000 0.0000 1
Tm2 Tm 0.0000 0.0000 0.3225 1
Tm3 Tm 0.6667 0.3333 0.8123 1
Sc1 Sc 0.6667 0.3333 0.5014 1
Te1 Te 0.0000 0.0000 0.6504 1
Te2 Te 0.6667 0.3333 0.1611 1
C1 C 0.3333 0.6667 0.4146 1
C2 C 0.3333 0.6667 0.9059 1
```

Peak list (8 most intense, 2θ = 5–70°, most intense first)
- 34.0°, d = 2.634 Å, intensity 100
- 48.9°, d = 1.863 Å, intensity 39
- 27.6°, d = 3.229 Å, intensity 28
- 60.9°, d = 1.522 Å, intensity 19
- 64.6°, d = 1.442 Å, intensity 18
- 6.5°, d = 13.663 Å, intensity 15
- 39.6°, d = 2.277 Å, intensity 13
- 68.3°, d = 1.374 Å, intensity 11